This entry pairs a crystal structure of CsHg11Pb with its calculated X-ray diffraction stick pattern. Radiation: Cu Kα, 1.54184 Å. Structure: a cell relaxed with PBE.
Kinematic intensities with the Lorentz-polarization factor, no thermal factor.

Crystal structure
```
data_CsHg11Pb
_chemical_formula_sum 'Cs2 Hg22 Pb2'
_cell_length_a 6.304
_cell_length_b 15.287
_cell_length_c 8.810
_cell_angle_alpha 90.00
_cell_angle_beta 103.92
_cell_angle_gamma 90.00
_symmetry_space_group_name_H-M 'C 1 2/m 1'
_symmetry_Int_Tables_number 12
loop_
_symmetry_equiv_pos_as_xyz
'x,y,z'
'-x,-y,-z'
'-x,y,-z'
'x,-y,z'
'x+1/2,y+1/2,z'
'-x+1/2,-y+1/2,-z'
'-x+1/2,y+1/2,-z'
'x+1/2,-y+1/2,z'
loop_
_atom_site_label
_atom_site_fract_x
_atom_site_fract_y
_atom_site_fract_z
Cs1 0.000 0.000 0.000
Hg1 0.000 0.000 0.500
Hg2 0.086 0.379 0.227
Hg3 0.141 0.180 0.358
Hg4 0.250 0.250 0.000
Pb1 0.000 0.500 0.500
```

Top 10 peaks for 2θ = 5–70°, most intense first:
- hkl 0 4 2, d 2.849, 31.39 deg, I 100.0
- hkl 2 0 1, d 2.686, 33.36 deg, I 78.6
- hkl 2 4 -1, d 2.422, 37.12 deg, I 66.3
- hkl 2 2 -2, d 2.655, 33.76 deg, I 51.6
- hkl 0 2 3, d 2.671, 33.56 deg, I 35.9
- hkl 2 2 0, d 2.840, 31.50 deg, I 35.6
- hkl 1 5 0, d 2.735, 32.74 deg, I 33.4
- hkl 2 6 2, d 1.684, 54.50 deg, I 32.9
- hkl 1 1 2, d 3.100, 28.80 deg, I 32.3
- hkl 0 6 1, d 2.442, 36.81 deg, I 27.0

=====

This entry pairs a crystal structure of PaFeP2Rh2 with its calculated X-ray diffraction stick pattern. Radiation: Cu Kα, 1.54184 Å. Structure: a cell relaxed with PBE.
Kinematic intensities with the Lorentz-polarization factor, no thermal factor.

Crystal structure
```
data_PaFeP2Rh2
_chemical_formula_sum 'Pa2 Fe2 P4 Rh4'
_cell_length_a 3.813
_cell_length_b 3.813
_cell_length_c 13.893
_cell_angle_alpha 90.00
_cell_angle_beta 90.00
_cell_angle_gamma 90.00
_symmetry_space_group_name_H-M 'I 4/m m m'
_symmetry_Int_Tables_number 139
_symmetry_space_group_name_Hall '-I 4 2'
loop_
_atom_site_label
_atom_site_fract_x
_atom_site_fract_y
_atom_site_fract_z
Pa1 0.000 0.000 0.000
Fe1 0.000 0.000 0.500
P1 0.000 0.000 0.347
Rh1 0.000 0.500 0.250
```

Top 10 peaks for 2θ = 5–70°, most intense first:
- hkl 1 1 2, d 2.514, 35.72 deg, I 100.0
- hkl 0 0 4, d 3.473, 25.65 deg, I 52.6
- hkl 1 1 6, d 1.757, 52.06 deg, I 44.9
- hkl 1 0 3, d 2.944, 30.36 deg, I 34.6
- hkl 2 0 0, d 1.907, 47.70 deg, I 30.0
- hkl 2 0 4, d 1.671, 54.94 deg, I 26.1
- hkl 1 0 1, d 3.677, 24.20 deg, I 19.0
- hkl 2 1 3, d 1.600, 57.60 deg, I 11.8
- hkl 2 2 0, d 1.348, 69.75 deg, I 9.5
- hkl 0 0 8, d 1.737, 52.71 deg, I 9.3

=====

This entry pairs a crystal structure of K3HgO3 with its calculated X-ray diffraction stick pattern. Radiation: Cu Kα, 1.54184 Å. Structure: a cell relaxed with PBE.
Kinematic intensities with the Lorentz-polarization factor, no thermal factor.

Crystal structure
```
data_K3HgO3
_chemical_formula_sum 'K6 Hg2 O6'
_cell_length_a 7.429
_cell_length_b 5.594
_cell_length_c 7.921
_cell_angle_alpha 90.00
_cell_angle_beta 112.27
_cell_angle_gamma 90.00
_symmetry_space_group_name_H-M 'P 1 21/m 1'
_symmetry_Int_Tables_number 11
loop_
_symmetry_equiv_pos_as_xyz
'x,y,z'
'-x,-y,-z'
'-x,y+1/2,-z'
'x,-y+1/2,z'
loop_
_atom_site_label
_atom_site_fract_x
_atom_site_fract_y
_atom_site_fract_z
K1 0.059 0.250 0.380
K2 0.304 0.250 0.891
K3 0.420 0.750 0.632
Hg1 0.214 0.750 0.157
O1 0.088 0.750 0.345
O2 0.286 0.750 0.934
O3 0.448 0.250 0.637
```

Top 10 peaks for 2θ = 5–70°, most intense first:
- hkl 2 1 -1, d 3.084, 28.95 deg, I 100.0
- hkl 1 1 0, d 4.339, 20.47 deg, I 99.3
- hkl 0 1 2, d 3.066, 29.13 deg, I 89.4
- hkl 0 1 1, d 4.447, 19.97 deg, I 76.3
- hkl 0 2 0, d 2.797, 32.00 deg, I 72.1
- hkl 1 0 -1, d 6.359, 13.93 deg, I 65.4
- hkl 2 0 1, d 2.739, 32.70 deg, I 58.0
- hkl 2 0 -3, d 2.485, 36.14 deg, I 42.1
- hkl 2 2 1, d 1.957, 46.40 deg, I 41.5
- hkl 2 2 -3, d 1.858, 49.04 deg, I 36.3

=====

This entry pairs a crystal structure of Mg4H3Ir2 with its calculated X-ray diffraction stick pattern. Radiation: Cu Kα, 1.54184 Å. Structure: a cell relaxed with PBE.
Kinematic intensities with the Lorentz-polarization factor, no thermal factor.

Crystal structure
```
data_Mg4H3Ir2
_chemical_formula_sum 'Mg4 H3 Ir2'
_cell_length_a 4.315
_cell_length_b 5.166
_cell_length_c 6.723
_cell_angle_alpha 72.47
_cell_angle_beta 71.31
_cell_angle_gamma 65.53
_symmetry_space_group_name_H-M 'P 1'
_symmetry_Int_Tables_number 1
loop_
_symmetry_equiv_pos_as_xyz
'x,y,z'
loop_
_atom_site_label
_atom_site_fract_x
_atom_site_fract_y
_atom_site_fract_z
Mg1 0.000 0.000 0.000
Mg2 0.195 0.106 0.503
Mg3 0.603 0.485 0.308
Mg4 0.801 0.611 0.788
H1 0.053 0.640 0.253
H2 0.463 0.058 0.020
H3 0.731 0.007 0.530
Ir1 0.256 0.406 0.082
Ir2 0.536 0.202 0.726
```

Top 10 peaks for 2θ = 5–70°, most intense first:
- hkl 1 1 0, d 3.645, 24.42 deg, I 100.0
- hkl 0 1 0, d 4.611, 19.25 deg, I 81.1
- hkl 1 1 3, d 2.189, 41.24 deg, I 53.0
- hkl 1 1 1, d 3.821, 23.28 deg, I 51.2
- hkl 0 0 1, d 6.246, 14.18 deg, I 46.1
- hkl 0 1 -1, d 3.405, 26.17 deg, I 39.4
- hkl -1 1 1, d 2.317, 38.88 deg, I 33.9
- hkl 2 1 1, d 2.158, 41.87 deg, I 28.8
- hkl 0 2 -1, d 2.038, 44.46 deg, I 23.2
- hkl 1 2 0, d 2.379, 37.81 deg, I 22.0

=====

This entry pairs a crystal structure of Sc2CuO with its calculated X-ray diffraction stick pattern. Radiation: Cu Kα, 1.54184 Å. Structure: a cell relaxed with PBE.
Kinematic intensities with the Lorentz-polarization factor, no thermal factor.

Crystal structure
```
data_Sc2CuO
_chemical_formula_sum 'Sc8 Cu4 O4'
_cell_length_a 6.012
_cell_length_b 6.012
_cell_length_c 7.608
_cell_angle_alpha 90.00
_cell_angle_beta 90.00
_cell_angle_gamma 90.00
_symmetry_space_group_name_H-M 'I -4 2 d'
_symmetry_Int_Tables_number 122
_symmetry_space_group_name_Hall 'I -4 2bw'
loop_
_atom_site_label
_atom_site_fract_x
_atom_site_fract_y
_atom_site_fract_z
Sc1 0.174 0.250 0.125
Cu1 0.000 0.000 0.500
O1 0.000 0.000 0.000
```

Top 10 peaks for 2θ = 5–70°, most intense first:
- hkl 1 1 2, d 2.835, 31.56 deg, I 100.0
- hkl 2 1 1, d 2.535, 35.41 deg, I 48.9
- hkl 2 2 0, d 2.126, 42.53 deg, I 28.8
- hkl 2 0 4, d 1.607, 57.32 deg, I 27.8
- hkl 3 1 2, d 1.701, 53.91 deg, I 26.6
- hkl 3 0 1, d 1.938, 46.88 deg, I 15.3
- hkl 1 0 3, d 2.337, 38.53 deg, I 13.9
- hkl 3 2 3, d 1.393, 67.19 deg, I 11.5
- hkl 2 1 3, d 1.845, 49.40 deg, I 6.2
- hkl 4 0 0, d 1.503, 61.71 deg, I 6.0

=====

This entry pairs a crystal structure of Rb2Sm2PaTe6 with its calculated X-ray diffraction stick pattern. Radiation: Cu Kα, 1.54184 Å. Structure: a cell relaxed with PBE.
Kinematic intensities with the Lorentz-polarization factor, no thermal factor.

Crystal structure
```
data_Rb2Sm2PaTe6
_chemical_formula_sum 'Rb4 Sm4 Pa2 Te12'
_cell_length_a 7.823
_cell_length_b 13.503
_cell_length_c 9.184
_cell_angle_alpha 90.00
_cell_angle_beta 106.81
_cell_angle_gamma 90.00
_symmetry_space_group_name_H-M 'C 1 2/m 1'
_symmetry_Int_Tables_number 12
loop_
_symmetry_equiv_pos_as_xyz
'x,y,z'
'-x,-y,-z'
'-x,y,-z'
'x,-y,z'
'x+1/2,y+1/2,z'
'-x+1/2,-y+1/2,-z'
'-x+1/2,y+1/2,-z'
'x+1/2,-y+1/2,z'
loop_
_atom_site_label
_atom_site_fract_x
_atom_site_fract_y
_atom_site_fract_z
Rb1 0.000 0.169 0.000
Sm1 0.000 0.333 0.500
Pa1 0.000 0.000 0.500
Te1 0.232 0.163 0.700
Te2 0.240 0.500 0.699
```

Top 10 peaks for 2θ = 5–70°, most intense first:
- hkl 1 3 1, d 3.354, 26.58 deg, I 100.0
- hkl 0 0 1, d 8.792, 10.06 deg, I 78.6
- hkl 2 0 -2, d 3.372, 26.43 deg, I 49.7
- hkl 3 3 -1, d 2.256, 39.96 deg, I 36.3
- hkl 1 3 -3, d 2.522, 35.60 deg, I 35.1
- hkl 4 0 0, d 1.872, 48.64 deg, I 28.1
- hkl 1 3 2, d 2.707, 33.10 deg, I 20.9
- hkl 0 6 0, d 2.251, 40.07 deg, I 17.9
- hkl 2 0 2, d 2.514, 35.71 deg, I 17.4
- hkl 4 6 0, d 1.439, 64.81 deg, I 16.3

=====

This entry pairs a crystal structure of Nd3ErBi2 with its calculated X-ray diffraction stick pattern. Radiation: Cu Kα, 1.54184 Å. Structure: a cell relaxed with PBE.
Kinematic intensities with the Lorentz-polarization factor, no thermal factor.

Crystal structure
```
data_Nd3ErBi2
_chemical_formula_sum 'Nd3 Er1 Bi2'
_cell_length_a 4.640
_cell_length_b 4.640
_cell_length_c 8.943
_cell_angle_alpha 90.00
_cell_angle_beta 90.00
_cell_angle_gamma 90.00
_symmetry_space_group_name_H-M 'P -4 m 2'
_symmetry_Int_Tables_number 115
loop_
_symmetry_equiv_pos_as_xyz
'x,y,z'
'y,-x,-z'
'-x,-y,z'
'-y,x,-z'
'-x,y,z'
'-y,-x,-z'
'x,-y,z'
'y,x,-z'
loop_
_atom_site_label
_atom_site_fract_x
_atom_site_fract_y
_atom_site_fract_z
Nd1 0.000 0.000 0.000
Nd2 0.000 0.500 0.649
Er1 0.500 0.500 0.000
Bi1 0.000 0.500 0.278
```

Top 10 peaks for 2θ = 5–70°, most intense first:
- hkl 1 1 2, d 2.645, 33.89 deg, I 100.0
- hkl 1 1 1, d 3.080, 28.99 deg, I 75.4
- hkl 2 0 0, d 2.320, 38.82 deg, I 58.0
- hkl 0 0 3, d 2.981, 29.98 deg, I 35.3
- hkl 2 0 3, d 1.831, 49.81 deg, I 34.9
- hkl 1 0 3, d 2.508, 35.80 deg, I 28.9
- hkl 3 1 2, d 1.394, 67.14 deg, I 28.4
- hkl 1 1 0, d 3.281, 27.18 deg, I 22.0
- hkl 2 2 0, d 1.640, 56.06 deg, I 20.1
- hkl 2 1 3, d 1.703, 53.83 deg, I 18.4

=====

This entry pairs a crystal structure of K5Tc with its calculated X-ray diffraction stick pattern. Radiation: Cu Kα, 1.54184 Å. Structure: a cell relaxed with PBE.
Kinematic intensities with the Lorentz-polarization factor, no thermal factor.

Crystal structure
```
data_K5Tc
_chemical_formula_sum 'K10 Tc2'
_cell_length_a 15.448
_cell_length_b 4.192
_cell_length_c 11.001
_cell_angle_alpha 90.00
_cell_angle_beta 112.83
_cell_angle_gamma 90.00
_symmetry_space_group_name_H-M 'C 1 2/m 1'
_symmetry_Int_Tables_number 12
loop_
_symmetry_equiv_pos_as_xyz
'x,y,z'
'-x,-y,-z'
'-x,y,-z'
'x,-y,z'
'x+1/2,y+1/2,z'
'-x+1/2,-y+1/2,-z'
'-x+1/2,y+1/2,-z'
'x+1/2,-y+1/2,z'
loop_
_atom_site_label
_atom_site_fract_x
_atom_site_fract_y
_atom_site_fract_z
K1 0.000 0.000 0.000
K2 0.128 0.500 0.377
K3 0.161 0.500 0.772
Tc1 0.000 0.000 0.500
```

Top 10 peaks for 2θ = 5–70°, most intense first:
- hkl 3 1 0, d 3.140, 28.42 deg, I 100.0
- hkl 0 0 1, d 10.139, 8.72 deg, I 91.6
- hkl 1 1 -2, d 3.333, 26.74 deg, I 85.3
- hkl 2 0 2, d 3.532, 25.21 deg, I 57.0
- hkl 4 0 -2, d 3.655, 24.35 deg, I 41.7
- hkl 2 0 0, d 7.119, 12.43 deg, I 39.1
- hkl 1 1 -3, d 2.739, 32.69 deg, I 25.4
- hkl 2 0 -1, d 7.311, 12.11 deg, I 23.4
- hkl 0 2 0, d 2.095, 43.18 deg, I 18.1
- hkl 5 1 2, d 1.914, 47.50 deg, I 17.6